1.
# Sr8H
Simulated PXRD pattern, Cu Ka. Input: a cell relaxed with PBE.
Peak positions follow from Bragg's law for the DFT cell and can differ from measured ones.

Crystal structure
a = 8.4237 Å, b = 8.4237 Å, c = 6.8986 Å
α = 90.00°, β = 90.00°, γ = 120.00°
Space group P-3m1 (No. 164)
Inequivalent atoms, fractional coordinates:
Sr 0.1615 0.3230 0.2580 [6 per cell]
Sr 0.3333 0.6667 0.7621 [2 per cell]
H 0.0000 0.0000 0.5000 [1 per cell]

Top 10 peaks for 10° ≤ 2θ ≤ 90°, in order of rising 2θ:
- 24.40°, I = 23, (2 0 0)
- 25.83°, I = 26, (0 0 2)
- 27.66°, I = 100, (0 2 1)
- 35.83°, I = 17, (2 0 2)
- 42.95°, I = 20, (2 2 0)
- 46.70°, I = 23, (0 2 3)
- 50.80°, I = 24, (2 2 2)
- 51.85°, I = 17, (4 0 1)
- 69.53°, I = 14, (2 4 1)
- 81.38°, I = 9, (2 4 3)

2.
# RbCe4Se8
Simulated PXRD pattern, Cu Ka. Input: a cell relaxed with PBE.
Peak positions follow from Bragg's law for the DFT cell and can differ from measured ones.

Crystal structure
a = 8.1667 Å, b = 8.1667 Å, c = 17.7808 Å
α = 90.00°, β = 90.00°, γ = 120.00°
Space group P6_3/mmc (No. 194)
Inequivalent atoms, fractional coordinates:
Rb 0.0000 0.0000 0.0000 [2 per cell]
Ce 0.0000 0.0000 0.2500 [2 per cell]
Ce 0.0020 0.5010 0.2500 [6 per cell]
Se 0.1662 0.3323 0.6535 [12 per cell]
Se 0.3333 0.6667 0.1537 [4 per cell]

Top 10 peaks for 10° ≤ 2θ ≤ 90°, in order of rising 2θ:
- 25.68°, I = 49, (2 0 1)
- 27.14°, I = 26, (2 0 2)
- 32.35°, I = 100, (2 0 4)
- 35.81°, I = 29, (2 0 5)
- 39.68°, I = 41, (2 0 6)
- 44.37°, I = 43, (2 2 0)
- 45.59°, I = 24, (2 2 2)
- 55.97°, I = 21, (4 0 4)
- 70.19°, I = 16, (2 2 10)
- 74.07°, I = 18, (4 2 4)

3.
# PbS3O12
Simulated PXRD pattern, Cu Ka. Input: a cell relaxed with PBE.
Peak positions follow from Bragg's law for the DFT cell and can differ from measured ones.

Crystal structure
a = 9.0685 Å, b = 9.0685 Å, c = 23.3888 Å
α = 90.00°, β = 90.00°, γ = 120.00°
Space group R3c (No. 161, hexagonal axes)
Inequivalent atoms, fractional coordinates:
Pb 0.0000 0.0000 0.0000 [6 per cell]
S 0.0917 0.3771 0.0600 [18 per cell]
O 0.1349 0.3569 0.3866 [18 per cell]
O 0.1496 0.4760 0.7300 [18 per cell]
O 0.1794 0.4209 0.1184 [18 per cell]
O 0.2166 0.4380 0.0135 [18 per cell]

Top 10 peaks for 10° ≤ 2θ ≤ 90°, in order of rising 2θ:
- 13.58°, I = 100, (0 1 2)
- 18.92°, I = 18, (1 0 4)
- 19.58°, I = 12, (1 1 0)
- 22.69°, I = 13, (1 1 3)
- 23.90°, I = 9, (2 0 2)
- 27.36°, I = 24, (0 2 4)
- 30.24°, I = 28, (1 1 6)
- 31.08°, I = 22, (1 2 2)
- 33.87°, I = 16, (2 1 4)
- 43.44°, I = 12, (1 2 8)

4.
# AcY5Er4
Simulated PXRD pattern, Cu Ka. Input: a cell relaxed with PBE.
Peak positions follow from Bragg's law for the DFT cell and can differ from measured ones.

Crystal structure
a = 17.373 Å, b = 3.596 Å, c = 10.956 Å
α = 90.00°, β = 90.43°, γ = 90.00°
Space group C2/m (No. 12)
Inequivalent atoms, fractional coordinates:
Ac 0.000 0.000 0.000 [2 per cell]
Y 0.000 0.000 0.500 [2 per cell]
Y 0.174 0.500 0.553 [4 per cell]
Y 0.177 0.500 0.939 [4 per cell]
Er 0.025 0.500 0.742 [4 per cell]
Er 0.150 0.000 0.250 [4 per cell]

Top 10 peaks for 10° ≤ 2θ ≤ 90°, in order of rising 2θ:
- 10.18°, I = 51, (2 0 0)
- 26.57°, I = 80, (2 0 3)
- 30.88°, I = 54, (6 0 0)
- 31.90°, I = 35, (4 0 -3)
- 32.70°, I = 38, (0 0 4)
- 33.53°, I = 93, (3 1 -2)
- 33.65°, I = 100, (3 1 2)
- 48.94°, I = 23, (1 1 -5)
- 50.78°, I = 19, (0 2 0)
- 56.79°, I = 19, (9 1 2)

5.
# Sr14CaMg
Simulated PXRD pattern, Cu Ka. Input: a cell relaxed with PBE.
Peak positions follow from Bragg's law for the DFT cell and can differ from measured ones.

Crystal structure
a = 11.909 Å, b = 11.942 Å, c = 11.611 Å
α = 90.00°, β = 90.00°, γ = 90.00°
Space group Cmmm (No. 65)
Inequivalent atoms, fractional coordinates:
Sr 0.000 0.000 0.000 [2 per cell]
Sr 0.000 0.247 0.262 [8 per cell]
Sr 0.000 0.500 0.000 [2 per cell]
Sr 0.245 0.000 0.263 [8 per cell]
Sr 0.250 0.250 0.000 [4 per cell]
Sr 0.250 0.250 0.500 [4 per cell]
Ca 0.000 0.500 0.500 [2 per cell]
Mg 0.000 0.000 0.500 [2 per cell]

Top 10 peaks for 10° ≤ 2θ ≤ 90°, in order of rising 2θ:
- 26.12°, I = 100, (2 2 2)
- 29.97°, I = 36, (0 4 0)
- 30.80°, I = 16, (0 0 4)
- 42.90°, I = 13, (4 4 0)
- 43.51°, I = 24, (0 4 4)
- 50.87°, I = 16, (2 6 2)
- 50.97°, I = 15, (6 2 2)
- 51.99°, I = 13, (2 2 6)
- 53.74°, I = 13, (4 4 4)
- 68.72°, I = 6, (6 6 2)

6.
# TcAgCl6
Simulated PXRD pattern, Cu Ka. Input: a cell relaxed with PBE.
Peak positions follow from Bragg's law for the DFT cell and can differ from measured ones.

Crystal structure
a = 6.270 Å, b = 6.275 Å, c = 6.764 Å
α = 62.43°, β = 89.97°, γ = 60.05°
Space group P-1 (No. 2)
Inequivalent atoms, fractional coordinates:
Tc 0.000 0.000 0.000 [1 per cell]
Ag 0.500 0.000 0.500 [1 per cell]
Cl 0.064 0.157 0.234 [2 per cell]
Cl 0.221 0.171 0.765 [2 per cell]
Cl 0.391 0.546 0.234 [2 per cell]

Top 10 peaks for 10° ≤ 2θ ≤ 90°, in order of rising 2θ:
- 19.34°, I = 100, (1 1 1)
- 26.48°, I = 44, (1 1 -1)
- 32.56°, I = 37, (2 1 1)
- 34.63°, I = 21, (2 2 0)
- 39.26°, I = 14, (2 0 -2)
- 42.78°, I = 44, (1 -1 1)
- 45.41°, I = 22, (2 3 2)
- 49.19°, I = 18, (2 -1 0)
- 50.38°, I = 24, (3 3 1)
- 62.57°, I = 10, (1 3 -1)

7.
# AcP2Au4
Simulated PXRD pattern, Cu Ka. Input: a cell relaxed with PBE.
Peak positions follow from Bragg's law for the DFT cell and can differ from measured ones.

Crystal structure
a = 8.047 Å, b = 8.047 Å, c = 4.373 Å
α = 90.00°, β = 90.00°, γ = 90.00°
Space group P4_2/mnm (No. 136)
Inequivalent atoms, fractional coordinates:
Ac 0.000 0.000 0.000 [2 per cell]
P 0.219 0.219 0.500 [4 per cell]
Au 0.076 0.672 0.500 [8 per cell]

Top 10 peaks for 10° ≤ 2θ ≤ 90°, in order of rising 2θ:
- 25.69°, I = 21, (1 1 1)
- 32.21°, I = 100, (2 1 1)
- 35.27°, I = 40, (3 1 0)
- 37.72°, I = 35, (2 2 1)
- 41.04°, I = 26, (3 1 1)
- 41.30°, I = 26, (0 0 2)
- 46.53°, I = 19, (4 1 0)
- 55.40°, I = 22, (3 1 2)
- 61.38°, I = 23, (5 0 1)
- 63.94°, I = 15, (4 1 2)

8.
# LiScB4
Simulated PXRD pattern, Cu Ka. Input: a cell relaxed with PBE.
Peak positions follow from Bragg's law for the DFT cell and can differ from measured ones.

Crystal structure
a = 5.691 Å, b = 11.303 Å, c = 3.425 Å
α = 90.00°, β = 90.00°, γ = 90.00°
Space group Pbam (No. 55)
Inequivalent atoms, fractional coordinates:
Li 0.131 0.085 0.000 [4 per cell]
Sc 0.125 0.347 0.000 [4 per cell]
B 0.028 0.805 0.500 [4 per cell]
B 0.114 0.949 0.500 [4 per cell]
B 0.134 0.534 0.500 [4 per cell]
B 0.211 0.686 0.500 [4 per cell]

Top 10 peaks for 10° ≤ 2θ ≤ 90°, in order of rising 2θ:
- 17.45°, I = 33, (1 1 0)
- 22.17°, I = 59, (1 2 0)
- 28.41°, I = 38, (1 3 0)
- 31.49°, I = 31, (1 1 1)
- 32.45°, I = 37, (2 1 0)
- 34.43°, I = 71, (1 2 1)
- 38.90°, I = 69, (1 3 1)
- 41.42°, I = 45, (0 4 1)
- 42.05°, I = 100, (2 1 1)
- 44.51°, I = 31, (1 4 1)

9.
# Pm3InAg8
Simulated PXRD pattern, Cu Ka. Input: a cell relaxed with PBE.
Peak positions follow from Bragg's law for the DFT cell and can differ from measured ones.

Crystal structure
a = 5.7074 Å, b = 5.7074 Å, c = 28.1124 Å
α = 90.00°, β = 90.00°, γ = 120.00°
Space group R3m (No. 160, hexagonal axes)
Inequivalent atoms, fractional coordinates:
Pm 0.0000 0.0000 0.0000 [3 per cell]
Pm 0.0000 0.0000 0.1245 [3 per cell]
Pm 0.0000 0.0000 0.6144 [3 per cell]
In 0.0000 0.0000 0.4909 [3 per cell]
Ag 0.0000 0.0000 0.3082 [3 per cell]
Ag 0.0000 0.0000 0.8088 [3 per cell]
Ag 0.0032 0.5016 0.5588 [9 per cell]
Ag 0.1670 0.3340 0.3915 [9 per cell]

Top 10 peaks for 10° ≤ 2θ ≤ 90°, in order of rising 2θ:
- 31.23°, I = 22, (0 1 8)
- 31.35°, I = 23, (1 1 0)
- 36.78°, I = 35, (1 0 10)
- 36.90°, I = 100, (2 0 2)
- 38.62°, I = 35, (0 2 4)
- 55.75°, I = 13, (3 0 0)
- 59.44°, I = 32, (2 1 10)
- 65.14°, I = 17, (0 2 16)
- 65.41°, I = 18, (2 2 0)
- 77.49°, I = 11, (0 4 2)

10.
# Pm7Sm6Y16
Simulated PXRD pattern, Cu Ka. Input: a cell relaxed with PBE.
Peak positions follow from Bragg's law for the DFT cell and can differ from measured ones.

Crystal structure
a = 15.794 Å, b = 15.794 Å, c = 15.794 Å
α = 90.00°, β = 90.00°, γ = 90.00°
Space group Fm-3m (No. 225)
Inequivalent atoms, fractional coordinates:
Pm 0.000 0.000 0.000 [4 per cell]
Pm 0.000 0.250 0.250 [24 per cell]
Sm 0.000 0.000 0.223 [24 per cell]
Y 0.114 0.114 0.386 [32 per cell]
Y 0.150 0.150 0.150 [32 per cell]

Top 10 peaks for 10° ≤ 2θ ≤ 90°, in order of rising 2θ:
- 15.87°, I = 7, (2 2 0)
- 27.67°, I = 10, (4 2 2)
- 29.38°, I = 27, (5 1 1)
- 32.06°, I = 100, (4 4 0)
- 44.04°, I = 11, (5 5 3)
- 45.97°, I = 14, (8 0 0)
- 55.50°, I = 7, (9 3 1)
- 57.14°, I = 23, (8 4 4)
- 60.65°, I = 16, (9 5 1)
- 67.04°, I = 6, (8 8 0)

11.
# DyZr2NpP4
Simulated PXRD pattern, Cu Ka. Input: a cell relaxed with PBE.
Peak positions follow from Bragg's law for the DFT cell and can differ from measured ones.

Crystal structure
a = 6.654 Å, b = 3.841 Å, c = 6.693 Å
α = 90.00°, β = 109.24°, γ = 90.00°
Space group P2/m (No. 10)
Inequivalent atoms, fractional coordinates:
Dy 0.000 0.000 0.000 [1 per cell]
Zr 0.000 0.500 0.500 [1 per cell]
Zr 0.500 0.000 0.500 [1 per cell]
Np 0.500 0.500 0.000 [1 per cell]
P 0.248 0.000 0.739 [2 per cell]
P 0.257 0.500 0.262 [2 per cell]

Top 10 peaks for 10° ≤ 2θ ≤ 90°, in order of rising 2θ:
- 14.02°, I = 20, (0 0 1)
- 27.22°, I = 14, (1 1 0)
- 28.24°, I = 21, (0 0 2)
- 28.43°, I = 60, (2 0 0)
- 32.89°, I = 100, (1 1 1)
- 47.08°, I = 36, (2 0 2)
- 47.33°, I = 36, (0 2 0)
- 56.03°, I = 19, (3 1 1)
- 58.84°, I = 19, (4 0 0)
- 78.74°, I = 16, (4 2 0)

12.
# Na2Ge2Pd
Simulated PXRD pattern, Cu Ka. Input: a cell relaxed with PBE.
Peak positions follow from Bragg's law for the DFT cell and can differ from measured ones.

Crystal structure
a = 5.144 Å, b = 15.239 Å, c = 5.660 Å
α = 90.00°, β = 90.00°, γ = 90.00°
Space group Cmcm (No. 63)
Inequivalent atoms, fractional coordinates:
Na 0.000 0.068 0.250 [4 per cell]
Na 0.000 0.303 0.750 [4 per cell]
Ge 0.246 0.382 0.250 [8 per cell]
Pd 0.000 0.500 0.000 [4 per cell]

Top 10 peaks for 10° ≤ 2θ ≤ 90°, in order of rising 2θ:
- 11.61°, I = 100, (0 2 0)
- 18.20°, I = 49, (1 1 0)
- 19.54°, I = 59, (0 2 1)
- 36.72°, I = 25, (1 1 2)
- 38.87°, I = 25, (0 6 1)
- 39.67°, I = 46, (0 4 2)
- 40.30°, I = 46, (2 2 1)
- 40.48°, I = 25, (1 3 2)
- 42.40°, I = 39, (2 4 0)
- 47.77°, I = 27, (2 0 2)